Diffraction record for Li6ScFe5Si12O36. The powder diffraction line list is theoretical, not measured: it uses the PBE+U geometry in Alexandria and copper Kα.

Main lines, in order of rising 2θ (10 to 80 degrees two-theta):
hkl, Position (°2θ), Rel. int.
0 1 -1, 13.89, 48
1 1 2, 19.65, 31
1 -1 1, 20.11, 28
0 0 3, 25.08, 37
2 1 2, 29.29, 100
2 1 -1, 30.81, 60
0 2 4, 35.72, 31
-2 1 2, 36.87, 22
-1 2 4, 41.71, 16
2 3 6, 55.39, 27
4 2 1, 56.19, 19
4 0 -3, 67.92, 16

Crystal structure
```
Li6ScFe5Si12O36
1.0
6.6146 0.0000 0.0000
2.1247 9.3084 0.0000
2.0966 2.0183 10.6510
Li Sc Fe Si O
6 1 5 12 36
direct
0.0000 0.0000 0.0000
0.0021 0.3321 0.3357
0.0067 0.6622 0.6690
0.5102 0.8263 0.3412
0.5126 0.1593 0.6703
0.5154 0.4890 0.0029
0.3612 0.7594 0.1210
0.1532 0.0647 0.2201
0.1562 0.3968 0.5530
0.1556 0.7287 0.8838
0.3588 0.0932 0.4549
0.3629 0.4258 0.7871
0.0514 0.0764 0.7210
0.0506 0.4106 0.0546
0.0517 0.7442 0.3907
0.4646 0.7464 0.6178
0.4665 0.0797 0.9521
0.4683 0.4075 0.2870
0.6441 0.4610 0.5114
0.6448 0.1236 0.1796
0.6450 0.7928 0.8420
0.8704 0.0293 0.4958
0.8747 0.3611 0.8287
0.8762 0.6957 0.1625
0.0538 0.1076 0.3980
0.0543 0.7738 0.0605
0.0593 0.4383 0.7313
0.1429 0.2722 0.1560
0.1453 0.6054 0.4914
0.1471 0.9361 0.8195
0.2254 0.8299 0.2923
0.2257 0.1607 0.6207
0.2271 0.4926 0.9533
0.2862 0.0015 0.0522
0.2904 0.3271 0.3879
0.2925 0.6607 0.7191
0.3667 0.8859 0.5195
0.3739 0.5451 0.1866
0.3774 0.2179 0.8498
0.4580 0.0487 0.2770
0.4603 0.3832 0.6091
0.4635 0.7122 0.9380
0.6080 0.6320 0.5289
0.6103 0.9602 0.8682
0.6143 0.7963 0.6970
0.6160 0.1258 0.0342
0.6155 0.2917 0.2015
0.6174 0.4572 0.3672
0.6310 0.1121 0.4850
0.6360 0.4440 0.8161
0.6380 0.7803 0.1554
0.8833 0.3791 0.5240
0.8837 0.0397 0.1905
0.8850 0.7101 0.8512
0.8989 0.0311 0.6404
0.9012 0.3626 0.9736
0.9016 0.8598 0.4759
0.9052 0.5275 0.1399
0.9097 0.1905 0.8106
0.9140 0.6909 0.3063
```